Starting from a crystal structure in OQMD, relaxed with PBE, the X-ray powder pattern of Dy4InGe4Os2 was simulated for Cu Kα (λ = 1.5418 Å).

Peak list (10 most intense, 15 to 90 degrees two-theta, low angle first)
2θ/deg  d (Å)  I_rel
32.63  2.744  356
32.99  2.715  300
34.51  2.599  315
35.69  2.515  1000
36.37  2.470  392
38.01  2.368  214
40.24  2.241  177
40.46  2.229  173
41.82  2.160  201
42.03  2.150  468

Crystal structure
Cell: 8.1676 8.1676 7.0208 Å, 106.14 106.14 30.52°
Fractional positions:
Dy1 0.0887 0.0887 0.3894
Dy2 0.1525 0.1525 0.9333
Dy3 0.8475 0.8475 0.0667
Dy4 0.9113 0.9113 0.6106
In1 0.5000 0.5000 0.0000
Ge1 0.2978 0.2978 0.7391
Ge2 0.4351 0.4351 0.3411
Ge3 0.5649 0.5649 0.6589
Ge4 0.7022 0.7022 0.2609
Os1 0.2803 0.2803 0.3678
Os2 0.7197 0.7197 0.6322

Starting from a crystal structure in OQMD, relaxed with PBE, the X-ray powder pattern of Cs3Re2Cl10O was simulated for Cu Kα (λ = 1.5418 Å).

Peak list (10 most intense, 15 to 90 degrees two-theta, low angle first)
2θ/deg  d (Å)  I_rel
16.62  5.333  443
19.01  4.667  478
19.40  4.576  1000
23.59  3.771  536
26.06  3.420  347
27.68  3.223  562
31.07  2.879  293
33.61  2.667  820
36.68  2.450  359
39.10  2.304  329

Crystal structure
Cell: 10.3865 10.3865 10.3865 Å, 137.42 137.42 61.79°
Fractional positions:
Cs1 0.0000 0.0000 0.0000
Cs2 0.2500 0.7500 0.5000
Cs3 0.7500 0.2500 0.5000
Re1 0.3964 0.3964 0.0000
Re2 0.6036 0.6036 0.0000
Cl1 0.1675 0.1675 0.5558
Cl2 0.1675 0.6116 0.0000
Cl3 0.2616 0.2616 0.0000
Cl4 0.3884 0.3884 0.5558
Cl5 0.3884 0.8325 0.0000
Cl6 0.6116 0.1675 0.0000
Cl7 0.6116 0.6116 0.4442
Cl8 0.7384 0.7384 0.0000
Cl9 0.8325 0.3884 0.0000
Cl10 0.8325 0.8325 0.4442
O1 0.5000 0.5000 0.0000

Starting from a crystal structure in OQMD, relaxed with PBE, the X-ray powder pattern of NaSmPa was simulated for Cu Kα (λ = 1.5418 Å).

Peak list (10 most intense, 15 to 90 degrees two-theta, low angle first)
2θ/deg  d (Å)  I_rel
24.25  3.670  943
34.57  2.595  1000
42.68  2.119  289
49.69  1.835  181
56.04  1.641  398
61.94  1.498  376
72.91  1.297  116
78.14  1.223  193
83.26  1.160  165
88.34  1.106  119

Crystal structure
Cell: 5.1896 5.1896 5.1896 Å, 60.00 60.00 60.00°
Fractional positions:
Na1 0.0000 0.0000 0.0000
Sm1 0.2500 0.2500 0.2500
Pa1 0.7500 0.7500 0.7500

Starting from a crystal structure in OQMD, relaxed with PBE, the X-ray powder pattern of SmIn2S4 was simulated for Cu Kα (λ = 1.5418 Å).

Peak list (10 most intense, 15 to 90 degrees two-theta, low angle first)
2θ/deg  d (Å)  I_rel
15.92  5.566  209
23.77  3.743  727
25.44  3.501  393
26.23  3.397  226
30.61  2.921  579
35.49  2.529  354
36.86  2.438  1000
44.83  2.022  238
47.56  1.912  335
52.25  1.751  360

Crystal structure
Cell: 5.9229 5.9229 10.1163 Å, 90.00 90.00 110.00°
Fractional positions:
Sm1 0.0000 0.0000 0.2500
Sm2 0.0000 0.0000 0.7500
In1 0.2882 0.6842 0.0000
In2 0.3158 0.7118 0.5000
In3 0.6842 0.2882 0.5000
In4 0.7118 0.3158 0.0000
S1 0.0000 0.5000 0.1962
S2 0.0000 0.5000 0.8038
S3 0.1383 0.2569 0.5000
S4 0.2569 0.1383 0.0000
S5 0.5000 0.0000 0.3038
S6 0.5000 0.0000 0.6962
S7 0.7431 0.8617 0.0000
S8 0.8617 0.7431 0.5000

Starting from a crystal structure in OQMD, relaxed with PBE, the X-ray powder pattern of Ag2SnHgTe2S2 was simulated for Cu Kα (λ = 1.5418 Å).

Peak list (10 most intense, 15 to 90 degrees two-theta, low angle first)
2θ/deg  d (Å)  I_rel
24.73  3.600  984
25.03  3.558  1000
40.63  2.220  235
41.18  2.192  481
41.38  2.182  639
48.15  1.890  167
48.66  1.871  164
48.93  1.861  168
49.00  1.859  131
49.10  1.855  132

Crystal structure
Cell: 7.5795 7.5795 6.1964 Å, 113.20 113.20 47.87°
Fractional positions:
Ag1 0.2489 0.2489 0.3014
Ag2 0.7511 0.7511 0.6986
Sn1 0.9687 0.0313 0.5000
Hg1 0.5049 0.4951 0.0000
Te1 0.0990 0.6275 0.1237
Te2 0.3725 0.9010 0.8763
S1 0.6332 0.1295 0.6222
S2 0.8705 0.3668 0.3778

Starting from a crystal structure in OQMD, relaxed with PBE, the X-ray powder pattern of LuSb2O4 was simulated for Cu Kα (λ = 1.5418 Å).

Peak list (10 most intense, 15 to 90 degrees two-theta, low angle first)
2θ/deg  d (Å)  I_rel
26.03  3.423  381
30.62  2.919  1000
32.02  2.795  151
45.91  1.977  167
48.88  1.863  365
53.54  1.712  388
62.94  1.477  127
73.14  1.294  85
75.40  1.261  224
87.18  1.118  124

Crystal structure
Cell: 6.8468 6.8468 6.8468 Å, 60.00 60.00 60.00°
Fractional positions:
Lu1 0.1250 0.1250 0.1250
Lu2 0.8750 0.8750 0.8750
Sb1 0.0000 0.5000 0.5000
Sb2 0.5000 0.0000 0.5000
Sb3 0.5000 0.5000 0.0000
Sb4 0.5000 0.5000 0.5000
O1 0.2511 0.2511 0.2511
O2 0.2511 0.2511 0.7468
O3 0.2511 0.7468 0.2511
O4 0.2532 0.7489 0.7489
O5 0.7468 0.2511 0.2511
O6 0.7489 0.2532 0.7489
O7 0.7489 0.7489 0.2532
O8 0.7489 0.7489 0.7489

Starting from a crystal structure in OQMD, relaxed with PBE, the X-ray powder pattern of BaSn2Hg was simulated for Cu Kα (λ = 1.5418 Å).

Peak list (10 most intense, 15 to 90 degrees two-theta, low angle first)
2θ/deg  d (Å)  I_rel
27.10  3.290  90
27.96  3.191  328
32.12  2.786  690
32.86  2.726  1000
34.22  2.620  366
44.76  2.025  221
48.42  1.880  206
59.96  1.543  119
60.42  1.532  178
60.64  1.527  350

Crystal structure
Cell: 7.5243 7.5243 5.2401 Å, 90.00 90.00 121.98°
Fractional positions:
Ba1 0.1695 0.8305 0.7500
Ba2 0.8305 0.1695 0.2500
Sn1 0.2244 0.3574 0.7500
Sn2 0.3574 0.2244 0.2500
Sn3 0.6426 0.7756 0.7500
Sn4 0.7756 0.6426 0.2500
Hg1 0.3403 0.6597 0.2500
Hg2 0.6597 0.3403 0.7500

Starting from a crystal structure in OQMD, relaxed with PBE, the X-ray powder pattern of SrAgNO was simulated for Cu Kα (λ = 1.5418 Å).

Peak list (10 most intense, 15 to 90 degrees two-theta, low angle first)
2θ/deg  d (Å)  I_rel
30.44  2.936  362
31.91  2.804  1000
34.89  2.572  382
41.80  2.161  143
44.20  2.049  125
47.26  1.923  143
53.65  1.708  145
55.03  1.669  206
60.07  1.540  145
62.94  1.477  142

Crystal structure
Cell: 3.8463 5.7206 5.8728 Å, 90.00 90.00 90.00°
Fractional positions:
Sr1 0.0000 0.1679 0.0000
Sr2 0.0000 0.8321 0.5000
Ag1 0.5000 0.3134 0.5202
Ag2 0.5000 0.6866 0.0202
N1 0.0000 0.3815 0.5614
N2 0.0000 0.6185 0.0614
O1 0.5000 0.0383 0.2645
O2 0.5000 0.9617 0.7645

Starting from a crystal structure in OQMD, relaxed with PBE, the X-ray powder pattern of MgOs2O4 was simulated for Cu Kα (λ = 1.5418 Å).

Peak list (10 most intense, 15 to 90 degrees two-theta, low angle first)
2θ/deg  d (Å)  I_rel
17.86  4.967  1000
34.58  2.594  838
36.17  2.483  564
42.01  2.151  499
45.99  1.974  246
55.51  1.656  304
60.92  1.521  405
64.03  1.454  205
72.95  1.297  255
87.00  1.120  187

Crystal structure
Cell: 6.0828 6.0828 6.0828 Å, 60.00 60.00 60.00°
Fractional positions:
Mg1 0.1250 0.1250 0.1250
Mg2 0.8750 0.8750 0.8750
Os1 0.0000 0.5000 0.5000
Os2 0.5000 0.0000 0.5000
Os3 0.5000 0.5000 0.0000
Os4 0.5000 0.5000 0.5000
O1 0.2557 0.2557 0.2557
O2 0.2557 0.2557 0.7330
O3 0.2557 0.7330 0.2557
O4 0.2670 0.7443 0.7443
O5 0.7330 0.2557 0.2557
O6 0.7443 0.2670 0.7443
O7 0.7443 0.7443 0.2670
O8 0.7443 0.7443 0.7443

Starting from a crystal structure in OQMD, relaxed with PBE, the X-ray powder pattern of Y2ErAg4Sn4 was simulated for Cu Kα (λ = 1.5418 Å).

Peak list (10 most intense, 15 to 90 degrees two-theta, low angle first)
2θ/deg  d (Å)  I_rel
31.87  2.808  1000
32.96  2.718  549
35.35  2.539  240
39.39  2.287  360
41.08  2.197  192
43.41  2.084  403
43.73  2.070  134
58.22  1.585  134
67.36  1.390  129
72.21  1.308  120

Crystal structure
Cell: 8.7557 8.7557 8.7557 Å, 149.71 130.64 59.01°
Fractional positions:
Y1 0.1271 0.1271 0.0000
Y2 0.8729 0.8729 0.0000
Er1 0.5000 0.0000 0.5000
Ag1 0.1280 0.3277 0.8003
Ag2 0.4725 0.6723 0.8003
Ag3 0.5275 0.3277 0.1997
Ag4 0.8720 0.6723 0.1997
Sn1 0.1983 0.5000 0.6983
Sn2 0.2871 0.7870 0.5000
Sn3 0.7130 0.2130 0.5000
Sn4 0.8017 0.5000 0.3017

Starting from a crystal structure in OQMD, relaxed with PBE, the X-ray powder pattern of ErHf was simulated for Cu Kα (λ = 1.5418 Å).

Peak list (10 most intense, 15 to 90 degrees two-theta, low angle first)
2θ/deg  d (Å)  I_rel
30.79  2.904  239
33.96  2.640  246
35.28  2.544  1000
46.49  1.953  155
54.75  1.676  191
61.63  1.505  201
66.02  1.415  218
66.83  1.400  158
74.60  1.272  39
87.00  1.120  80

Crystal structure
Cell: 3.3529 3.3529 5.2792 Å, 90.00 90.00 120.00°
Fractional positions:
Er1 0.0000 0.0000 0.0000
Hf1 0.6667 0.3333 0.5000

Starting from a crystal structure in OQMD, relaxed with PBE, the X-ray powder pattern of DyHoNO was simulated for Cu Kα (λ = 1.5418 Å).

Peak list (10 most intense, 15 to 90 degrees two-theta, low angle first)
2θ/deg  d (Å)  I_rel
26.02  3.425  345
27.06  3.295  227
31.88  2.807  1000
32.75  2.735  392
36.67  2.450  319
45.24  2.004  174
47.18  1.926  298
56.96  1.617  171
59.59  1.552  151
61.20  1.514  269

Crystal structure
Cell: 8.0180 6.5902 4.9010 Å, 90.00 90.00 90.00°
Fractional positions:
Dy1 0.1223 0.0696 0.2500
Dy2 0.1223 0.4304 0.7500
Dy3 0.8777 0.5696 0.2500
Dy4 0.8777 0.9304 0.7500
Ho1 0.3735 0.5836 0.2500
Ho2 0.3735 0.9164 0.7500
Ho3 0.6265 0.0836 0.2500
Ho4 0.6265 0.4164 0.7500
N1 0.3761 0.5710 0.7500
N2 0.3761 0.9290 0.2500
N3 0.6239 0.0710 0.7500
N4 0.6239 0.4290 0.2500
O1 0.1338 0.0932 0.7500
O2 0.1338 0.4068 0.2500
O3 0.8662 0.5932 0.7500
O4 0.8662 0.9068 0.2500